# 1
This entry pairs a crystal structure of Li3NiPCO7 with its theoretical powder XRD pattern. Radiation: Cu Kα X-rays. Structure: a GGA+U-relaxed structure.
Intensities are scaled so that the largest is 100.

Peak list (6 most intense, 2θ from 10° to 90°, in order of falling intensity)
Position (°2θ)	d [Å]	I_rel
10.62	8.330	100.0
27.89	3.199	92.2
25.77	3.457	39.9
26.84	3.322	36.5
21.62	4.110	34.6
20.08	4.421	34.5

Atomic structure:
Cell: 6.399 8.358 9.930 Å, 85.34 89.86 89.64°
Sites, in units of the cell vectors:
Li (0.000, 0.000, 0.000)
Li (0.001, 0.014, 0.512)
Li (0.224, 0.189, 0.750)
Li (0.229, 0.187, 0.243)
Li (0.261, 0.634, 0.989)
Li (0.503, 0.810, 0.236)
Li (0.507, 0.809, 0.743)
Li (0.740, 0.634, 0.987)
Li (0.749, 0.634, 0.514)
Li (0.773, 0.187, 0.243)
Li (0.779, 0.190, 0.750)
Li (0.996, 0.566, 0.741)
Ni (0.000, 0.575, 0.223)
Ni (0.253, 0.640, 0.508)
Ni (0.500, 0.243, 0.019)
Ni (0.502, 0.241, 0.521)
P (0.000, 0.321, 0.984)
P (0.005, 0.324, 0.479)
P (0.497, 0.497, 0.263)
P (0.503, 0.494, 0.759)
C (0.006, 0.870, 0.768)
C (0.007, 0.868, 0.274)
C (0.496, 0.948, 0.476)
C (0.501, 0.949, 0.975)
O (0.000, 0.020, 0.797)
O (0.001, 0.340, 0.828)
O (0.003, 0.013, 0.308)
O (0.004, 0.345, 0.321)
O (0.005, 0.759, 0.867)
O (0.008, 0.491, 0.535)
O (0.011, 0.835, 0.643)
O (0.014, 0.747, 0.368)
O (0.189, 0.217, 0.039)
O (0.190, 0.215, 0.530)
O (0.311, 0.597, 0.707)
O (0.312, 0.602, 0.208)
O (0.483, 0.476, 0.423)
O (0.484, 0.798, 0.445)
O (0.496, 0.471, 0.917)
O (0.501, 0.066, 0.880)
O (0.501, 0.328, 0.212)
O (0.501, 0.983, 0.599)
O (0.501, 0.987, 0.099)
O (0.502, 0.801, 0.945)
O (0.503, 0.325, 0.706)
O (0.506, 0.061, 0.380)
O (0.688, 0.601, 0.218)
O (0.691, 0.598, 0.711)
O (0.813, 0.217, 0.039)
O (0.814, 0.224, 0.533)
O (0.999, 0.491, 0.036)
O (0.999, 0.832, 0.150)

---

# 2
This entry pairs a crystal structure of Ba2Y2Mn4O11 with its theoretical powder XRD pattern. Radiation: Cu Kα X-rays. Structure: a GGA+U-relaxed structure.
Intensities are scaled so that the largest is 100.

Peak list (6 most intense, 2θ from 10° to 90°, in order of falling intensity)
Position (°2θ)	d [Å]	I_rel
31.78	2.816	100.0
32.77	2.733	95.5
31.91	2.804	90.0
57.79	1.596	40.2
39.65	2.273	39.3
56.15	1.638	35.1

Atomic structure:
Cell: 8.774 8.774 3.850 Å, 90.00 90.00 124.39°
Sites, in units of the cell vectors:
Ba (0.000, 0.500, 0.000)
Ba (0.500, 0.000, 0.000)
Y (0.225, 0.225, 0.000)
Y (0.775, 0.775, 0.000)
Mn (0.124, 0.876, 0.500)
Mn (0.386, 0.614, 0.500)
Mn (0.614, 0.386, 0.500)
Mn (0.876, 0.124, 0.500)
O (0.000, 0.000, 0.500)
O (0.112, 0.888, 0.000)
O (0.167, 0.366, 0.500)
O (0.249, 0.751, 0.500)
O (0.366, 0.167, 0.500)
O (0.412, 0.588, 0.000)
O (0.588, 0.412, 0.000)
O (0.634, 0.833, 0.500)
O (0.751, 0.249, 0.500)
O (0.833, 0.634, 0.500)
O (0.888, 0.112, 0.000)